[1]
Structure and theoretical powder diffractogram of Ho6Si2Ge (a DFT-relaxed cell (PBE, Alexandria); Cu Ka).

The 8 most intense peaks (10 to 80 degrees two-theta), by intensity:
| 2theta | d/Å | intensity | (hkl) |
| --- | --- | --- | --- |
| 31.17 | 2.869 | 100 | 1 0 2 |
| 36.99 | 2.430 | 48 | 1 3 -1 |
| 32.84 | 2.727 | 37 | 2 1 -3 |
| 29.20 | 3.058 | 37 | 0 2 2 |
| 54.43 | 1.686 | 34 | 0 4 3 |
| 28.48 | 3.134 | 31 | 1 2 -2 |
| 36.06 | 2.491 | 27 | 2 1 0 |
| 33.87 | 2.646 | 26 | 1 1 -4 |

Crystal structure
```
data_Ho6Si2Ge
_chemical_formula_sum 'Ho12 Si4 Ge2'
_cell_length_a 6.151
_cell_length_b 7.934
_cell_length_c 11.261
_cell_angle_alpha 90.00
_cell_angle_beta 121.47
_cell_angle_gamma 90.00
_symmetry_space_group_name_H-M 'P 1 21/c 1'
_symmetry_Int_Tables_number 14
loop_
_symmetry_equiv_pos_as_xyz
'x,y,z'
'-x,-y,-z'
'-x,y+1/2,-z+1/2'
'x,-y+1/2,z+1/2'
loop_
_atom_site_label
_atom_site_fract_x
_atom_site_fract_y
_atom_site_fract_z
_atom_site_occupancy
Ho1 0.085 0.168 0.441 1
Ho2 0.308 0.685 0.436 1
Ho3 0.406 0.043 0.268 1
Si1 0.178 0.119 0.751 1
Ge1 0.000 0.000 0.000 1
```

[2]
Structure and theoretical powder diffractogram of Ho4SiGe2 (a DFT-relaxed cell (PBE, Alexandria); Cu Ka).

The 8 most intense peaks (10 to 80 degrees two-theta), by intensity:
| 2theta | d/Å | intensity | (hkl) |
| --- | --- | --- | --- |
| 32.26 | 2.775 | 100 | 3 1 0 |
| 38.39 | 2.345 | 63 | 2 1 3 |
| 53.23 | 1.721 | 40 | 3 1 4 |
| 24.86 | 3.582 | 24 | 1 1 2 |
| 28.78 | 3.102 | 22 | 2 2 0 |
| 50.99 | 1.791 | 21 | 4 2 2 |
| 65.59 | 1.423 | 21 | 6 1 1 |
| 69.42 | 1.354 | 15 | 5 1 4 |

Crystal structure
```
data_Ho4SiGe2
_chemical_formula_sum 'Ho16 Si4 Ge8'
_cell_length_a 8.777
_cell_length_b 8.777
_cell_length_c 8.770
_cell_angle_alpha 90.00
_cell_angle_beta 90.00
_cell_angle_gamma 90.00
_symmetry_space_group_name_H-M 'I -4 2 d'
_symmetry_Int_Tables_number 122
_symmetry_space_group_name_Hall 'I -4 2bw'
loop_
_atom_site_label
_atom_site_fract_x
_atom_site_fract_y
_atom_site_fract_z
_atom_site_occupancy
Ho1 0.066 0.185 0.308 1
Si1 0.000 0.000 0.000 1
Ge1 0.125 0.250 0.625 1
```

[3]
Structure and theoretical powder diffractogram of Ho7Si2Ge2 (a DFT-relaxed cell (PBE, Alexandria); Cu Ka).

The 8 most intense peaks (10 to 80 degrees two-theta), by intensity:
| 2theta | d/Å | intensity | (hkl) |
| --- | --- | --- | --- |
| 29.20 | 3.058 | 100 | 2 2 0 |
| 38.67 | 2.328 | 80 | 2 2 2 |
| 33.79 | 2.652 | 57 | 0 4 0 |
| 37.64 | 2.390 | 56 | 0 0 3 |
| 28.83 | 3.097 | 48 | 1 1 2 |
| 26.86 | 3.319 | 27 | 2 0 1 |
| 24.80 | 3.591 | 22 | 0 0 2 |
| 34.62 | 2.591 | 20 | 2 0 2 |

Crystal structure
```
data_Ho7Si2Ge2
_chemical_formula_sum 'Ho14 Si4 Ge4'
_cell_length_a 7.486
_cell_length_b 10.609
_cell_length_c 7.181
_cell_angle_alpha 90.00
_cell_angle_beta 90.00
_cell_angle_gamma 90.00
_symmetry_space_group_name_H-M 'C m m m'
_symmetry_Int_Tables_number 65
_symmetry_space_group_name_Hall '-C 2 2'
loop_
_atom_site_label
_atom_site_fract_x
_atom_site_fract_y
_atom_site_fract_z
_atom_site_occupancy
Ho1 0.000 0.000 0.000 1
Ho2 0.000 0.500 0.264 1
Ho3 0.250 0.250 0.286 1
Si1 0.164 0.000 0.500 1
Ge1 0.000 0.293 0.000 1
```

[4]
Structure and theoretical powder diffractogram of Ho2ZnSiGe (a DFT-relaxed cell (PBE, Alexandria); Cu Ka).

The 8 most intense peaks (10 to 80 degrees two-theta), by intensity:
| 2theta | d/Å | intensity | (hkl) |
| --- | --- | --- | --- |
| 32.58 | 2.749 | 100 | 1 1 -2 |
| 33.23 | 2.696 | 94 | 2 1 -1 |
| 34.59 | 2.593 | 77 | 2 1 0 |
| 32.88 | 2.724 | 64 | 1 0 2 |
| 44.57 | 2.033 | 54 | 0 2 0 |
| 35.66 | 2.518 | 53 | 1 0 -3 |
| 25.32 | 3.518 | 47 | 0 1 1 |
| 39.83 | 2.263 | 47 | 1 1 2 |

Crystal structure
```
data_Ho2ZnSiGe
_chemical_formula_sum 'Ho4 Zn2 Si2 Ge2'
_cell_length_a 7.251
_cell_length_b 4.066
_cell_length_c 7.556
_cell_angle_alpha 90.00
_cell_angle_beta 111.80
_cell_angle_gamma 90.00
_symmetry_space_group_name_H-M 'P 1 21/m 1'
_symmetry_Int_Tables_number 11
loop_
_symmetry_equiv_pos_as_xyz
'x,y,z'
'-x,-y,-z'
'-x,y+1/2,-z'
'x,-y+1/2,z'
loop_
_atom_site_label
_atom_site_fract_x
_atom_site_fract_y
_atom_site_fract_z
_atom_site_occupancy
Ho1 0.058 0.250 0.198 1
Ho2 0.371 0.750 0.599 1
Zn1 0.352 0.250 0.958 1
Si1 0.334 0.750 0.167 1
Ge1 0.089 0.250 0.612 1
```

[5]
Structure and theoretical powder diffractogram of Tb3Ho2Ge4 (a DFT-relaxed cell (PBE, Alexandria); Cu Ka).

The 8 most intense peaks (10 to 80 degrees two-theta), by intensity:
| 2theta | d/Å | intensity | (hkl) |
| --- | --- | --- | --- |
| 32.34 | 2.768 | 100 | 2 2 -1 |
| 34.15 | 2.625 | 90 | 1 1 2 |
| 37.34 | 2.408 | 89 | 1 1 -3 |
| 33.50 | 2.675 | 82 | 2 2 0 |
| 32.99 | 2.715 | 56 | 1 2 -2 |
| 26.16 | 3.406 | 51 | 1 1 -2 |
| 36.88 | 2.437 | 47 | 0 3 1 |
| 35.77 | 2.510 | 46 | 3 0 -2 |

Crystal structure
```
data_Tb3Ho2Ge4
_chemical_formula_sum 'Tb6 Ho4 Ge8'
_cell_length_a 7.959
_cell_length_b 7.793
_cell_length_c 7.612
_cell_angle_alpha 90.00
_cell_angle_beta 112.39
_cell_angle_gamma 90.00
_symmetry_space_group_name_H-M 'P 1 21/c 1'
_symmetry_Int_Tables_number 14
loop_
_symmetry_equiv_pos_as_xyz
'x,y,z'
'-x,-y,-z'
'-x,y+1/2,-z+1/2'
'x,-y+1/2,z+1/2'
loop_
_atom_site_label
_atom_site_fract_x
_atom_site_fract_y
_atom_site_fract_z
_atom_site_occupancy
Tb1 0.000 0.000 0.000 1
Tb2 0.300 0.180 0.439 1
Ho1 0.263 0.663 0.273 1
Ge1 0.009 0.131 0.629 1
Ge2 0.413 0.535 0.677 1
```

[6]
Structure and theoretical powder diffractogram of Ho4TcGe8 (a DFT-relaxed cell (PBE, Alexandria); Cu Ka).

The 8 most intense peaks (10 to 80 degrees two-theta), by intensity:
| 2theta | d/Å | intensity | (hkl) |
| --- | --- | --- | --- |
| 35.25 | 2.546 | 100 | 1 1 3 |
| 43.18 | 2.095 | 18 | 0 2 0 |
| 45.17 | 2.007 | 16 | 2 0 0 |
| 33.62 | 2.666 | 12 | 0 0 6 |
| 74.03 | 1.281 | 11 | 1 3 3 |
| 24.82 | 3.588 | 11 | 1 0 2 |
| 40.63 | 2.221 | 11 | 1 0 6 |
| 64.26 | 1.449 | 11 | 2 2 0 |

Crystal structure
```
data_Ho4TcGe8
_chemical_formula_sum 'Ho4 Tc1 Ge8'
_cell_length_a 4.014
_cell_length_b 4.190
_cell_length_c 15.994
_cell_angle_alpha 90.00
_cell_angle_beta 90.00
_cell_angle_gamma 90.00
_symmetry_space_group_name_H-M 'P m m 2'
_symmetry_Int_Tables_number 25
loop_
_symmetry_equiv_pos_as_xyz
'x,y,z'
'-x,-y,z'
'-x,y,z'
'x,-y,z'
loop_
_atom_site_label
_atom_site_fract_x
_atom_site_fract_y
_atom_site_fract_z
_atom_site_occupancy
Ho1 0.000 0.000 0.000 1
Ho2 0.000 0.500 0.482 1
Ho3 0.500 0.000 0.794 1
Ho4 0.500 0.500 0.284 1
Tc1 0.000 0.500 0.699 1
Ge1 0.000 0.000 0.328 1
Ge2 0.000 0.000 0.618 1
Ge3 0.000 0.500 0.139 1
Ge4 0.000 0.500 0.855 1
Ge5 0.500 0.000 0.145 1
Ge6 0.500 0.000 0.438 1
Ge7 0.500 0.500 0.615 1
Ge8 0.500 0.500 0.960 1
```

Question: What is the formula in the fourth record?
Answer: Ho2ZnSiGe